SrV10O15: computed powder X-ray diffraction pattern (Cu Kα (weighted mean of Kα1 and Kα2)), based on a structure optimized by DFT (GGA+U).

Peak list (10 most intense, 10° ≤ 2θ ≤ 90°, sorted by position)
| 2θ (°) | Rel. int. | hkl |
| --- | --- | --- |
| 26.0 | 524 | 3 1 1 |
| 28.2 | 563 | 1 3 1 |
| 30.2 | 1000 | 1 1 3 |
| 30.7 | 799 | 3 1 2 |
| 36.2 | 657 | 4 2 1 |
| 39.8 | 834 | 4 2 2 |
| 45.3 | 937 | 4 2 3 |
| 52.2 | 682 | 4 2 4 |
| 60.2 | 506 | 4 2 5 |
| 61.6 | 758 | 4 6 0 |

Cell and atoms:
a = 11.7672 Å, b = 10.5121 Å, c = 9.5871 Å
α = 90.00°, β = 90.00°, γ = 90.00°
Space group Cmce (No. 64)
Asymmetric unit:
Sr1 0.0000 0.0000 0.0000
V1 0.0000 0.1809 0.3696
V2 0.1256 0.0838 0.6461
V3 0.2440 0.1630 0.1187
O1 0.0000 0.0000 0.5000
O2 0.0000 0.1474 0.7664
O3 0.1235 0.0890 0.2565
O4 0.1245 0.2339 0.5071
O5 0.2409 0.0000 0.5000
O6 0.2500 0.1779 0.7500